Starting from DFT lattice parameters and positions (GGA+U), the powder diffractogram of Cs2YWO6 was simulated for λ = 1.5418 Å (Cu Kα).
Peak positions follow from Bragg's law for the DFT cell and can differ from measured ones.

Largest 10 diffraction maxima, low angle first, 15° ≤ 2θ ≤ 90°:
h k l	d [Å]	I (rel.)
0 0 1	5.906	41
1 0 1	4.184	26
1 1 0	3.423	100
1 1 1	2.962	40
1 0 2	2.645	59
1 1 2	2.237	22
0 2 2	2.093	36
3 0 0	1.976	19
2 1 2	1.785	31
0 3 2	1.643	18

Cell and atoms:
Cell lengths 6.8460, 6.8460, 5.9062 Å; angles 90.00, 90.00, 120.00 degrees
Space group P-3m1 (No. 164)
One atom of each set of equivalent atoms:
Cs 0.3333 0.6667 0.3737
Y 0.0000 0.0000 0.0000
W 0.0000 0.0000 0.5000
O 0.1290 0.2581 0.7074